No. 1
This entry pairs a crystal structure of Ca4MnFe3O10 with its simulated PXRD pattern. Radiation: copper Kα. Structure: a cell relaxed with PBE+U.

Peak list (10 most intense, 2θ = 5–70°, low angle first)
- hkl 1 1 -1, 2θ = 22.72°, I = 14
- hkl 2 0 -2, 2θ = 31.95°, I = 40
- hkl 0 2 0, 2θ = 32.79°, I = 100
- hkl 1 1 -5, 2θ = 32.91°, I = 62
- hkl 1 0 -6, 2θ = 33.57°, I = 12
- hkl 1 1 5, 2θ = 42.54°, I = 13
- hkl 2 2 -2, 2θ = 46.40°, I = 40
- hkl 0 0 8, 2θ = 47.94°, I = 25
- hkl 3 1 -7, 2θ = 57.60°, I = 13
- hkl 1 3 -5, 2θ = 58.53°, I = 17

Structural model:
```
data_Ca4MnFe3O10
_cell_length_a 5.602
_cell_length_b 5.470
_cell_length_c 16.164
_cell_angle_alpha 90.00
_cell_angle_beta 110.08
_cell_angle_gamma 90.00
_space_group_name_H-M_alt 'P 1 21/c 1'
_space_group_IT_number 14
_space_group_name_Hall '-P 2ybc'
loop_
_atom_site_label
_atom_site_type_symbol
_atom_site_fract_x
_atom_site_fract_y
_atom_site_fract_z
_atom_site_occupancy
Ca1 Ca 0.088 0.034 0.111 1
Ca2 Ca 0.369 0.029 0.390 1
Mn1 Mn 0.000 0.000 0.500 1
Fe1 Fe 0.314 0.550 0.253 1
Fe2 Fe 0.500 0.000 0.000 1
O1 O 0.060 0.044 0.650 1
O2 O 0.235 0.724 0.517 1
O3 O 0.293 0.219 0.518 1
O4 O 0.294 0.031 0.864 1
O5 O 0.372 0.597 0.749 1
```



No. 2
This entry pairs a crystal structure of Sr2Ca6Mn5Fe3O24 with its simulated PXRD pattern. Radiation: copper Kα. Structure: a cell relaxed with PBE+U.

Peak list (10 most intense, 2θ = 5–70°, low angle first)
- hkl 0 1 1, 2θ = 11.53°, I = 4
- hkl 0 2 2, 2θ = 23.17°, I = 4
- hkl 2 2 2, 2θ = 32.95°, I = 100
- hkl 2 4 0, 2θ = 40.65°, I = 8
- hkl 4 0 0, 2θ = 47.14°, I = 16
- hkl 0 4 4, 2θ = 47.37°, I = 31
- hkl 4 4 0, 2θ = 58.74°, I = 12
- hkl 2 6 2, 2θ = 58.89°, I = 24
- hkl 4 4 4, 2θ = 69.05°, I = 17
- hkl 0 8 0, 2θ = 69.24°, I = 8

Structural model:
```
data_Sr2Ca6Mn5Fe3O24
_cell_length_a 7.712
_cell_length_b 10.856
_cell_length_c 10.856
_cell_angle_alpha 90.00
_cell_angle_beta 90.00
_cell_angle_gamma 90.00
_space_group_name_H-M_alt 'A m m 2'
_space_group_IT_number 38
_space_group_name_Hall 'A 2 -2'
loop_
_atom_site_label
_atom_site_type_symbol
_atom_site_fract_x
_atom_site_fract_y
_atom_site_fract_z
_atom_site_occupancy
Sr1 Sr 0.250 0.000 0.000 1
Ca1 Ca 0.248 0.249 0.750 1
Ca2 Ca 0.249 0.000 0.501 1
Mn1 Mn 0.000 0.000 0.252 1
Mn2 Mn 0.000 0.000 0.749 1
Mn3 Mn 0.000 0.249 0.500 1
Mn4 Mn 0.500 0.000 0.749 1
Fe1 Fe 0.500 0.000 0.252 1
Fe2 Fe 0.500 0.249 0.500 1
O1 O 0.000 0.124 0.376 1
O2 O 0.000 0.124 0.624 1
O3 O 0.000 0.128 0.129 1
O4 O 0.000 0.128 0.871 1
O5 O 0.246 0.246 0.500 1
O6 O 0.247 0.000 0.254 1
O7 O 0.249 0.000 0.746 1
O8 O 0.500 0.123 0.376 1
O9 O 0.500 0.123 0.625 1
O10 O 0.500 0.127 0.128 1
O11 O 0.500 0.127 0.871 1
```



No. 3
This entry pairs a crystal structure of Sr6Ca2MnFe7O24 with its simulated PXRD pattern. Radiation: copper Kα. Structure: a cell relaxed with PBE+U.

Peak list (10 most intense, 2θ = 5–70°, low angle first)
- hkl 0 0 1, 2θ = 11.36°, I = 1
- hkl 2 0 0, 2θ = 16.08°, I = 1
- hkl 2 0 1, 2θ = 19.74°, I = 2
- hkl 2 2 1, 2θ = 25.56°, I = 1
- hkl 4 0 0, 2θ = 32.50°, I = 100
- hkl 2 4 1, 2θ = 38.31°, I = 1
- hkl 4 0 2, 2θ = 40.09°, I = 12
- hkl 4 4 0, 2θ = 46.63°, I = 41
- hkl 6 2 2, 2θ = 57.99°, I = 37
- hkl 8 0 0, 2θ = 68.07°, I = 23

Structural model:
```
data_Sr6Ca2MnFe7O24
_cell_length_a 11.020
_cell_length_b 11.022
_cell_length_c 7.789
_cell_angle_alpha 90.00
_cell_angle_beta 90.00
_cell_angle_gamma 90.00
_space_group_name_H-M_alt 'C m m 2'
_space_group_IT_number 35
_space_group_name_Hall 'C 2 -2'
loop_
_atom_site_label
_atom_site_type_symbol
_atom_site_fract_x
_atom_site_fract_y
_atom_site_fract_z
_atom_site_occupancy
Sr1 Sr 0.000 0.250 0.000 1
Sr2 Sr 0.250 0.000 0.000 1
Sr3 Sr 0.250 0.000 0.499 1
Ca1 Ca 0.000 0.248 0.498 1
Mn1 Mn 0.000 0.000 0.251 1
Fe1 Fe 0.000 0.000 0.748 1
Fe2 Fe 0.000 0.500 0.251 1
Fe3 Fe 0.000 0.500 0.748 1
Fe4 Fe 0.250 0.250 0.251 1
Fe5 Fe 0.250 0.250 0.748 1
O1 O 0.000 0.000 0.002 1
O2 O 0.000 0.000 0.498 1
O3 O 0.000 0.500 0.000 1
O4 O 0.000 0.500 0.499 1
O5 O 0.123 0.125 0.254 1
O6 O 0.124 0.374 0.746 1
O7 O 0.124 0.375 0.253 1
O8 O 0.125 0.126 0.746 1
O9 O 0.250 0.250 0.501 1
O10 O 0.250 0.250 0.999 1
```